The following is a simulated X-ray diffraction stick pattern of Tl2AgF7. It was derived from DFT lattice parameters and positions (GGA-PBE), using Cu Kα, 1.54184 Å.
Neutral-atom scattering factors, no anomalous dispersion.

The 10 most intense peaks (10° ≤ 2θ ≤ 90°), sorted by position:
Position (°2θ)  I/Imax
16.11  55
20.55  71
25.33  94
25.51  79
26.22  94
27.42  100
36.78  72
48.16  69
50.75  51
61.63  42

Atomic structure:
```
10
Lattice="3.5164 -5.5034 0.0000 3.5164 5.5034 0.0000 0.0000 0.0000 4.3211" Properties=species:S:1:pos:R:3 pbc="T T T"
Tl 3.5164 3.3258 0.0000
Tl 3.5164 -3.3258 0.0000
Ag 3.5164 0.0000 2.1606
F 0.0000 0.0000 0.0000
F 2.1851 1.4865 0.0000
F 3.5164 2.9581 2.1606
F 2.1851 -1.4865 0.0000
F 4.8477 1.4865 0.0000
F 3.5164 -2.9581 2.1606
F 4.8477 -1.4865 0.0000
```